No. 1
Starting from DFT lattice parameters and positions (PBE+U), the powder diffractogram of PrV2IO9 was computed for Cu Kα (weighted mean of Kα1 and Kα2).
No peak broadening, texture or thermal motion is included.

Structural model:
Lattice parameters (Å, degrees): 7.123 14.731 7.344 90.00 90.00 90.00
Atoms (fractional coordinates):
Pr1 0.150 0.047 0.250
Pr2 0.150 0.453 0.750
Pr3 0.850 0.547 0.250
Pr4 0.850 0.953 0.750
V1 0.182 0.729 0.750
V2 0.182 0.771 0.250
V3 0.464 0.250 0.000
V4 0.464 0.250 0.500
V5 0.536 0.750 0.000
V6 0.536 0.750 0.500
V7 0.818 0.229 0.750
V8 0.818 0.271 0.250
I1 0.297 0.056 0.750
I2 0.297 0.444 0.250
I3 0.703 0.556 0.750
I4 0.703 0.944 0.250
O1 0.012 0.692 0.250
O2 0.012 0.808 0.750
O3 0.083 0.626 0.750
O4 0.083 0.874 0.250
O5 0.173 0.509 0.071
O6 0.173 0.509 0.429
O7 0.173 0.991 0.571
O8 0.173 0.991 0.929
O9 0.261 0.750 0.000
O10 0.261 0.750 0.500
O11 0.330 0.157 0.042
O12 0.330 0.157 0.458
O13 0.330 0.343 0.542
O14 0.330 0.343 0.958
O15 0.469 0.722 0.750
O16 0.469 0.778 0.250
O17 0.476 0.502 0.750
O18 0.476 0.998 0.250
O19 0.524 0.002 0.750
O20 0.524 0.498 0.250
O21 0.531 0.222 0.750
O22 0.531 0.278 0.250
O23 0.670 0.657 0.042
O24 0.670 0.657 0.458
O25 0.670 0.843 0.542
O26 0.670 0.843 0.958
O27 0.739 0.250 0.000
O28 0.739 0.250 0.500
O29 0.827 0.009 0.071
O30 0.827 0.009 0.429
O31 0.827 0.491 0.571
O32 0.827 0.491 0.929
O33 0.917 0.126 0.750
O34 0.917 0.374 0.250
O35 0.988 0.192 0.250
O36 0.988 0.308 0.750

Peak list (8 most intense, 15 to 90 degrees two-theta, in order of rising 2θ)
2θ = 21.99°, d 4.043, I = 100; 2θ = 24.21°, d 3.676, I = 80; 2θ = 27.13°, d 3.286, I = 46; 2θ = 28.50°, d 3.131, I = 62; 2θ = 32.94°, d 2.719, I = 78; 2θ = 41.28°, d 2.187, I = 36; 2θ = 45.39°, d 1.998, I = 36; 2θ = 47.20°, d 1.926, I = 33

No. 2
Starting from DFT lattice parameters and positions (PBE+U), the powder diffractogram of PrWIO4 was computed for Cu Kα (weighted mean of Kα1 and Kα2).
No peak broadening, texture or thermal motion is included.

Structural model:
Lattice parameters (Å, degrees): 6.759 6.759 7.324 103.23 103.23 67.63
Atoms (fractional coordinates):
Pr1 0.244 0.244 0.136
Pr2 0.756 0.756 0.864
W1 0.366 0.366 0.739
W2 0.634 0.634 0.261
I1 0.019 0.019 0.752
I2 0.981 0.981 0.248
O1 0.122 0.496 0.853
O2 0.303 0.303 0.483
O3 0.467 0.467 0.201
O4 0.496 0.122 0.853
O5 0.504 0.878 0.147
O6 0.533 0.533 0.799
O7 0.697 0.697 0.517
O8 0.878 0.504 0.147

Peak list (8 most intense, 15 to 90 degrees two-theta, in order of rising 2θ)
2θ = 23.36°, d 3.808, I = 32; 2θ = 23.65°, d 3.762, I = 100; 2θ = 25.30°, d 3.520, I = 44; 2θ = 27.24°, d 3.274, I = 49; 2θ = 27.47°, d 3.247, I = 45; 2θ = 32.54°, d 2.752, I = 52; 2θ = 34.91°, d 2.570, I = 35; 2θ = 43.83°, d 2.065, I = 24